No. 1
Theoretical PXRD pattern
Compound: PmMgSe3
Radiation: λ = 1.5418 Å (Cu Kα)
Structure: a GGA-PBE-relaxed structure

Crystal structure
```
PmMgSe3
1.0
3.5002 2.0209 6.5417
-3.5002 2.0209 6.5417
0.0000 -4.0417 6.5417
Pm Mg Se
2 2 6
Direct
0.1489 0.1489 0.1489
0.8511 0.8511 0.8511
0.3366 0.3366 0.3366
0.6634 0.6634 0.6634
0.0805 0.4600 0.7098
0.2902 0.9195 0.5400
0.4600 0.7098 0.0805
0.5400 0.2902 0.9195
0.7098 0.0805 0.4600
0.9195 0.5400 0.2902
```

Peak list (10 most intense, 10 to 90 degrees two-theta, sorted by position)
| d [Å] | I_rel |
| --- | --- |
| 6.542 | 25 |
| 5.158 | 20 |
| 3.814 | 24 |
| 3.086 | 100 |
| 2.996 | 19 |
| 2.579 | 20 |
| 2.390 | 63 |
| 2.021 | 40 |
| 1.851 | 18 |
| 1.226 | 16 |

***

No. 2
Theoretical PXRD pattern
Compound: PmMgSe3
Radiation: λ = 1.5418 Å (Cu Kα)
Structure: a GGA-PBE-relaxed structure

Crystal structure
```
PmMgSe3
1.0
4.2764 -6.0298 0.0000
4.2764 6.0298 0.0000
-2.5751 0.0000 5.3751
Pm Mg Se
2 2 6
Direct
0.2273 0.2273 0.1559
0.7727 0.7727 0.8441
0.3265 0.6735 0.0000
0.6735 0.3265 0.0000
0.1449 0.8325 0.2518
0.1675 0.8551 0.7482
0.3818 0.3818 0.6961
0.6182 0.6182 0.3039
0.8325 0.1449 0.2518
0.8551 0.1675 0.7482
```

Peak list (10 most intense, 10 to 90 degrees two-theta, sorted by position)
| d [Å] | I_rel |
| --- | --- |
| 6.030 | 77 |
| 5.167 | 31 |
| 3.564 | 60 |
| 3.289 | 31 |
| 3.249 | 68 |
| 2.771 | 65 |
| 2.418 | 32 |
| 2.387 | 100 |
| 2.375 | 43 |
| 2.010 | 33 |

***

No. 3
Theoretical PXRD pattern
Compound: Pm2MgSe4
Radiation: λ = 1.5418 Å (Cu Kα)
Structure: a GGA-PBE-relaxed structure

Crystal structure
```
Pm2MgSe4
1.0
14.5241 0.0000 0.0000
0.0000 8.4932 0.0000
0.0000 0.0000 6.9386
Pm Mg Se
8 4 16
Direct
0.0000 0.0000 0.0000
0.0000 0.5000 0.0000
0.2335 0.2500 0.4986
0.2665 0.7500 0.9986
0.5000 0.0000 0.5000
0.5000 0.5000 0.5000
0.7335 0.2500 0.0014
0.7665 0.7500 0.5014
0.0924 0.7500 0.5819
0.4076 0.2500 0.0819
0.5924 0.7500 0.9181
0.9076 0.2500 0.4181
0.0699 0.2500 0.2541
0.0920 0.7500 0.2155
0.1687 0.5116 0.7548
0.1687 0.9884 0.7548
0.3313 0.0116 0.2548
0.3313 0.4884 0.2548
0.4080 0.2500 0.7155
0.4301 0.7500 0.7541
0.5699 0.2500 0.2459
0.5920 0.7500 0.2845
0.6687 0.5116 0.7452
0.6687 0.9884 0.7452
0.8313 0.0116 0.2452
0.8313 0.4884 0.2452
0.9080 0.2500 0.7845
0.9301 0.7500 0.7459
```

Peak list (10 most intense, 10 to 90 degrees two-theta, sorted by position)
| d [Å] | I_rel |
| --- | --- |
| 6.261 | 38 |
| 5.039 | 60 |
| 3.970 | 29 |
| 3.514 | 35 |
| 3.241 | 65 |
| 3.217 | 35 |
| 2.520 | 100 |
| 2.508 | 41 |
| 2.123 | 31 |
| 2.103 | 52 |

***

No. 4
Theoretical PXRD pattern
Compound: Pm2MgSe4
Radiation: λ = 1.5418 Å (Cu Kα)
Structure: a GGA-PBE-relaxed structure

Crystal structure
```
Pm2MgSe4
1.0
0.0000 5.9702 5.9702
5.9702 0.0000 5.9702
5.9702 5.9702 0.0000
Pm Mg Se
4 2 8
Direct
0.0000 0.0000 0.0000
0.0000 0.0000 0.5000
0.0000 0.5000 0.0000
0.5000 0.0000 0.0000
0.3750 0.3750 0.3750
0.6250 0.6250 0.6250
0.2413 0.7529 0.7529
0.2471 0.2471 0.2471
0.2471 0.2471 0.7587
0.2471 0.7587 0.2471
0.7529 0.2413 0.7529
0.7529 0.7529 0.2413
0.7529 0.7529 0.7529
0.7587 0.2471 0.2471
```

Peak list (10 most intense, 10 to 90 degrees two-theta, sorted by position)
| d [Å] | I_rel |
| --- | --- |
| 6.894 | 53 |
| 3.600 | 50 |
| 2.985 | 100 |
| 2.298 | 23 |
| 2.111 | 88 |
| 2.018 | 14 |
| 1.723 | 26 |
| 1.493 | 14 |
| 1.335 | 33 |
| 1.219 | 29 |